This entry pairs a crystal structure of Sb2TeSe2 with its simulated powder XRD pattern. Radiation: Cu Kα (λ = 1.5418 Å). Structure: DFT lattice parameters and positions (GGA-PBE).
Peak positions follow from Bragg's law for the DFT cell and can differ from measured ones.

Structure:
```
data_Sb2TeSe2
_chemical_formula_sum 'Sb6 Te3 Se6'
_symmetry_space_group_name_H-M 'R 3 m'
_symmetry_Int_Tables_number 160
_symmetry_space_group_name_Hall 'R 3 -2"'
_cell_length_a 4.1561
_cell_length_b 4.1561
_cell_length_c 30.6017
_cell_angle_alpha 90.00
_cell_angle_beta 90.00
_cell_angle_gamma 120.00
loop_
_atom_site_label
_atom_site_type_symbol
_atom_site_fract_x
_atom_site_fract_y
_atom_site_fract_z
_atom_site_occupancy
Sb1 Sb 0.0000 0.0000 0.0000 1
Sb2 Sb 0.0000 0.0000 0.2128 1
Te1 Te 0.0000 0.0000 0.8212 1
Se1 Se 0.0000 0.0000 0.3829 1
Se2 Se 0.0000 0.0000 0.6069 1
```

Largest 10 diffraction maxima, in order of rising 2θ, 2θ from 10° to 90°:
2θ = 17.4°, 5.100 Å, rel. 12
2θ = 28.8°, 3.103 Å, rel. 100
2θ = 34.2°, 2.621 Å, rel. 13
2θ = 38.6°, 2.331 Å, rel. 28
2θ = 43.6°, 2.078 Å, rel. 37
2θ = 46.1°, 1.970 Å, rel. 15
2θ = 53.0°, 1.727 Å, rel. 18
2θ = 59.6°, 1.551 Å, rel. 8
2θ = 71.0°, 1.328 Å, rel. 15
2θ = 71.7°, 1.316 Å, rel. 13

***

This entry pairs a crystal structure of CuHgC4S4N4 with its simulated powder XRD pattern. Radiation: Cu Kα (λ = 1.5418 Å). Structure: DFT lattice parameters and positions (GGA-PBE).
Peak positions follow from Bragg's law for the DFT cell and can differ from measured ones.

Structure:
```
data_CuHgC4S4N4
_chemical_formula_sum 'Cu4 Hg4 C16 S16 N16'
_symmetry_space_group_name_H-M 'P b c n'
_symmetry_Int_Tables_number 60
_symmetry_space_group_name_Hall '-P 2n 2ab'
_cell_length_a 9.076
_cell_length_b 7.819
_cell_length_c 15.419
_cell_angle_alpha 90.00
_cell_angle_beta 90.00
_cell_angle_gamma 90.00
loop_
_atom_site_label
_atom_site_type_symbol
_atom_site_fract_x
_atom_site_fract_y
_atom_site_fract_z
_atom_site_occupancy
Cu1 Cu 0.000 0.000 0.000 1
Hg1 Hg 0.000 0.451 0.250 1
C1 C 0.140 0.200 0.655 1
C2 C 0.182 0.404 0.432 1
S1 S 0.014 0.345 0.408 1
S2 S 0.214 0.307 0.735 1
N1 N 0.092 0.118 0.598 1
N2 N 0.198 0.055 0.953 1
```

Largest 10 diffraction maxima, in order of rising 2θ, 2θ from 10° to 90°:
2θ = 11.5°, 7.709 Å, rel. 18
2θ = 15.0°, 5.924 Å, rel. 25
2θ = 18.9°, 4.697 Å, rel. 100
2θ = 19.6°, 4.538 Å, rel. 20
2θ = 23.1°, 3.855 Å, rel. 15
2θ = 30.2°, 2.962 Å, rel. 14
2θ = 30.7°, 2.909 Å, rel. 16
2θ = 33.8°, 2.650 Å, rel. 19
2θ = 38.2°, 2.358 Å, rel. 23
2θ = 38.3°, 2.349 Å, rel. 21

***

Question: What is the formula in the first record?
Answer: Sb2TeSe2